Entry 1:
Structure and theoretical X-ray powder pattern of K2NpSbS4 (a cell relaxed with GGA-PBE; λ = 1.5418 Å (Cu Kα)).
Kinematic intensities with the Lorentz-polarization factor, no thermal factor.

Structure:
```
data_K2NpSbS4
_chemical_formula_sum 'K8 Np4 Sb4 S16'
_cell_length_a 8.4128
_cell_length_b 8.5138
_cell_length_c 11.9257
_cell_angle_alpha 90.00
_cell_angle_beta 90.00
_cell_angle_gamma 90.00
_symmetry_space_group_name_H-M 'I m m a'
_symmetry_Int_Tables_number 74
_symmetry_space_group_name_Hall '-I 2b 2'
loop_
_atom_site_label
_atom_site_fract_x
_atom_site_fract_y
_atom_site_fract_z
K1 0.0000 0.0000 0.0000
K2 0.2500 0.2500 0.2500
Np1 0.2500 0.2500 0.7500
Sb1 0.0000 0.0000 0.5000
S1 0.0000 0.0332 0.7362
S2 0.2216 0.2500 0.5160
```

Peak list (10 most intense, 2θ = 10–90°, most intense first)
- 2θ = 29.86°, I 100
- 2θ = 12.78°, I 99
- 2θ = 42.82°, I 70
- 2θ = 24.75°, I 52
- 2θ = 29.97°, I 50
- 2θ = 25.71°, I 43
- 2θ = 25.92°, I 42
- 2θ = 50.75°, I 24
- 2θ = 12.88°, I 22
- 2θ = 39.02°, I 20

Entry 2:
Structure and theoretical X-ray powder pattern of TeHF (a cell relaxed with GGA-PBE; λ = 1.5418 Å (Cu Kα)).
Kinematic intensities with the Lorentz-polarization factor, no thermal factor.

Structure:
```
data_TeHF
_chemical_formula_sum 'Te2 H2 F2'
_cell_length_a 3.9806
_cell_length_b 5.2754
_cell_length_c 6.5547
_cell_angle_alpha 95.45
_cell_angle_beta 90.83
_cell_angle_gamma 111.50
_symmetry_space_group_name_H-M 'P 1'
_symmetry_Int_Tables_number 1
loop_
_symmetry_equiv_pos_as_xyz
'x,y,z'
loop_
_atom_site_label
_atom_site_fract_x
_atom_site_fract_y
_atom_site_fract_z
Te1 0.0000 0.0000 0.0000
Te2 0.3744 0.7553 0.7293
H1 0.2268 0.4517 0.8398
H2 0.6414 0.2860 0.3945
F1 0.6046 0.2089 0.2000
F2 0.6695 0.3459 0.5528
```

Peak list (10 most intense, 2θ = 10–90°, most intense first)
- 2θ = 21.54°, I 100
- 2θ = 13.59°, I 81
- 2θ = 18.18°, I 42
- 2θ = 28.38°, I 42
- 2θ = 28.23°, I 41
- 2θ = 35.79°, I 40
- 2θ = 35.46°, I 23
- 2θ = 37.42°, I 21
- 2θ = 37.76°, I 19
- 2θ = 36.34°, I 18

Entry 3:
Structure and theoretical X-ray powder pattern of Tb7TmAl5 (a cell relaxed with GGA-PBE; λ = 1.5418 Å (Cu Kα)).
Kinematic intensities with the Lorentz-polarization factor, no thermal factor.

Structure:
```
data_Tb7TmAl5
_chemical_formula_sum 'Tb14 Tm2 Al10'
_cell_length_a 6.1385
_cell_length_b 10.2897
_cell_length_c 10.6988
_cell_angle_alpha 90.00
_cell_angle_beta 90.00
_cell_angle_gamma 90.00
_symmetry_space_group_name_H-M 'I m m 2'
_symmetry_Int_Tables_number 44
loop_
_symmetry_equiv_pos_as_xyz
'x,y,z'
'-x,-y,z'
'-x,y,z'
'x,-y,z'
'x+1/2,y+1/2,z+1/2'
'-x+1/2,-y+1/2,z+1/2'
'-x+1/2,y+1/2,z+1/2'
'x+1/2,-y+1/2,z+1/2'
loop_
_atom_site_label
_atom_site_fract_x
_atom_site_fract_y
_atom_site_fract_z
Tb1 0.0000 0.0000 0.0000
Tb2 0.0000 0.0000 0.3367
Tb3 0.0000 0.3082 0.1647
Tb4 0.0000 0.3351 0.6808
Tb5 0.0000 0.5000 0.3970
Tm1 0.0000 0.0000 0.6605
Al1 0.0000 0.5000 0.9312
Al2 0.2475 0.2406 0.4270
```

Peak list (10 most intense, 2θ = 10–90°, most intense first)
- 2θ = 34.32°, I 100
- 2θ = 29.84°, I 96
- 2θ = 29.09°, I 91
- 2θ = 33.89°, I 70
- 2θ = 38.06°, I 56
- 2θ = 24.01°, I 54
- 2θ = 60.42°, I 45
- 2θ = 28.96°, I 43
- 2θ = 61.96°, I 39
- 2θ = 33.50°, I 36

Entry 4:
Structure and theoretical X-ray powder pattern of Ce3Pm2Pb3 (a cell relaxed with GGA-PBE; λ = 1.5418 Å (Cu Kα)).
Kinematic intensities with the Lorentz-polarization factor, no thermal factor.

Structure:
```
data_Ce3Pm2Pb3
_chemical_formula_sum 'Ce6 Pm4 Pb6'
_cell_length_a 4.5579
_cell_length_b 4.9823
_cell_length_c 21.3925
_cell_angle_alpha 90.00
_cell_angle_beta 90.00
_cell_angle_gamma 90.00
_symmetry_space_group_name_H-M 'I m m m'
_symmetry_Int_Tables_number 71
_symmetry_space_group_name_Hall '-I 2 2'
loop_
_atom_site_label
_atom_site_fract_x
_atom_site_fract_y
_atom_site_fract_z
Ce1 0.0000 0.0000 0.0000
Ce2 0.0000 0.5000 0.1152
Pm1 0.0000 0.0000 0.2449
Pb1 0.0000 0.0000 0.5000
Pb2 0.0000 0.5000 0.3675
```

Peak list (10 most intense, 2θ = 10–90°, most intense first)
- 2θ = 31.42°, I 100
- 2θ = 33.51°, I 19
- 2θ = 36.05°, I 18
- 2θ = 61.95°, I 15
- 2θ = 39.54°, I 14
- 2θ = 58.61°, I 14
- 2θ = 50.04°, I 13
- 2θ = 66.70°, I 12
- 2θ = 65.58°, I 11
- 2θ = 54.58°, I 11

Entry 5:
Structure and theoretical X-ray powder pattern of MnVSb3 (a cell relaxed with GGA-PBE; λ = 1.5418 Å (Cu Kα)).
Kinematic intensities with the Lorentz-polarization factor, no thermal factor.

Structure:
```
data_MnVSb3
_chemical_formula_sum 'Mn1 V1 Sb3'
_cell_length_a 5.0248
_cell_length_b 5.0248
_cell_length_c 5.0248
_cell_angle_alpha 90.00
_cell_angle_beta 90.00
_cell_angle_gamma 90.00
_symmetry_space_group_name_H-M 'P m -3 m'
_symmetry_Int_Tables_number 221
_symmetry_space_group_name_Hall '-P 4 2 3'
loop_
_atom_site_label
_atom_site_fract_x
_atom_site_fract_y
_atom_site_fract_z
Mn1 0.0000 0.0000 0.0000
V1 0.5000 0.5000 0.5000
Sb1 0.0000 0.0000 0.5000
```

Peak list (10 most intense, 2θ = 10–90°, most intense first)
- 2θ = 30.82°, I 100
- 2θ = 35.74°, I 87
- 2θ = 51.44°, I 59
- 2θ = 61.17°, I 41
- 2θ = 17.65°, I 37
- 2θ = 86.65°, I 26
- 2θ = 64.21°, I 20
- 2θ = 40.13°, I 18
- 2θ = 83.94°, I 17
- 2θ = 54.81°, I 9

Entry 6:
Structure and theoretical X-ray powder pattern of Os2RuO6 (a cell relaxed with GGA-PBE; λ = 1.5418 Å (Cu Kα)).
Kinematic intensities with the Lorentz-polarization factor, no thermal factor.

Structure:
```
data_Os2RuO6
_chemical_formula_sum 'Os6 Ru3 O18'
_cell_length_a 8.4688
_cell_length_b 8.4688
_cell_length_c 4.6681
_cell_angle_alpha 90.00
_cell_angle_beta 90.00
_cell_angle_gamma 120.00
_symmetry_space_group_name_H-M 'P 3 2 1'
_symmetry_Int_Tables_number 150
loop_
_symmetry_equiv_pos_as_xyz
'x,y,z'
'-y,x-y,z'
'-x+y,-x,z'
'y,x,-z'
'x-y,-y,-z'
'-x,-x+y,-z'
loop_
_atom_site_label
_atom_site_fract_x
_atom_site_fract_y
_atom_site_fract_z
Os1 0.0000 0.3323 0.0000
Os2 0.0000 0.6655 0.5000
Ru1 0.0000 0.0000 0.5000
Ru2 0.3333 0.6667 0.0004
O1 0.1048 0.5533 0.2557
O2 0.1111 0.2288 0.2498
O3 0.2137 0.7768 0.7561
```

Peak list (10 most intense, 2θ = 10–90°, most intense first)
- 2θ = 28.46°, I 100
- 2θ = 36.76°, I 44
- 2θ = 54.34°, I 43
- 2θ = 47.13°, I 26
- 2θ = 61.22°, I 24
- 2θ = 66.21°, I 13
- 2θ = 63.72°, I 11
- 2θ = 38.57°, I 10
- 2θ = 85.20°, I 10
- 2θ = 87.42°, I 9

Entry 7:
Structure and theoretical X-ray powder pattern of MgTaPb2O6 (a cell relaxed with GGA-PBE; λ = 1.5418 Å (Cu Kα)).
Kinematic intensities with the Lorentz-polarization factor, no thermal factor.

Structure:
```
data_MgTaPb2O6
_chemical_formula_sum 'Mg2 Ta2 Pb4 O12'
_cell_length_a 5.6718
_cell_length_b 5.7576
_cell_length_c 9.8656
_cell_angle_alpha 90.00
_cell_angle_beta 125.05
_cell_angle_gamma 90.00
_symmetry_space_group_name_H-M 'P 1 21/c 1'
_symmetry_Int_Tables_number 14
loop_
_symmetry_equiv_pos_as_xyz
'x,y,z'
'-x,-y,-z'
'-x,y+1/2,-z+1/2'
'x,-y+1/2,z+1/2'
loop_
_atom_site_label
_atom_site_fract_x
_atom_site_fract_y
_atom_site_fract_z
Mg1 0.0000 0.0000 0.0000
Ta1 0.5000 0.0000 0.5000
Pb1 0.2439 0.0340 0.7497
O1 0.1767 0.2013 0.4616
O2 0.2602 0.7160 0.4588
O3 0.3357 0.0204 0.2571
```

Peak list (10 most intense, 2θ = 10–90°, most intense first)
- 2θ = 31.32°, I 100
- 2θ = 44.87°, I 37
- 2θ = 31.55°, I 25
- 2θ = 31.07°, I 24
- 2θ = 56.03°, I 23
- 2θ = 55.43°, I 17
- 2θ = 74.25°, I 16
- 2θ = 22.00°, I 15
- 2θ = 65.34°, I 14
- 2θ = 18.93°, I 13

Entry 8:
Structure and theoretical X-ray powder pattern of LaCo2W (a cell relaxed with GGA-PBE; λ = 1.5418 Å (Cu Kα)).
Kinematic intensities with the Lorentz-polarization factor, no thermal factor.

Structure:
```
data_LaCo2W
_chemical_formula_sum 'La1 Co2 W1'
_cell_length_a 3.0606
_cell_length_b 3.0781
_cell_length_c 7.1872
_cell_angle_alpha 90.00
_cell_angle_beta 90.00
_cell_angle_gamma 90.00
_symmetry_space_group_name_H-M 'P m m m'
_symmetry_Int_Tables_number 47
loop_
_symmetry_equiv_pos_as_xyz
'x,y,z'
'-x,-y,-z'
'-x,-y,z'
'x,y,-z'
'x,-y,-z'
'-x,y,z'
'-x,y,-z'
'x,-y,z'
loop_
_atom_site_label
_atom_site_fract_x
_atom_site_fract_y
_atom_site_fract_z
La1 0.0000 0.0000 0.0000
Co1 0.5000 0.5000 0.3201
W1 0.0000 0.0000 0.5000
```

Peak list (10 most intense, 2θ = 10–90°, most intense first)
- 2θ = 38.51°, I 100
- 2θ = 41.61°, I 100
- 2θ = 38.64°, I 99
- 2θ = 24.78°, I 56
- 2θ = 12.32°, I 47
- 2θ = 59.63°, I 41
- 2θ = 49.03°, I 37
- 2θ = 73.79°, I 29
- 2θ = 74.04°, I 29
- 2θ = 29.01°, I 25

Entry 9:
Structure and theoretical X-ray powder pattern of TbDy7Y3 (a cell relaxed with GGA-PBE; λ = 1.5418 Å (Cu Kα)).
Kinematic intensities with the Lorentz-polarization factor, no thermal factor.

Structure:
```
data_TbDy7Y3
_chemical_formula_sum 'Tb1 Dy7 Y3'
_cell_length_a 6.9986
_cell_length_b 5.5343
_cell_length_c 9.8901
_cell_angle_alpha 90.00
_cell_angle_beta 110.52
_cell_angle_gamma 90.00
_symmetry_space_group_name_H-M 'P 1 2/m 1'
_symmetry_Int_Tables_number 10
loop_
_symmetry_equiv_pos_as_xyz
'x,y,z'
'-x,-y,-z'
'-x,y,-z'
'x,-y,z'
loop_
_atom_site_label
_atom_site_fract_x
_atom_site_fract_y
_atom_site_fract_z
Tb1 0.0000 0.0000 0.0000
Dy1 0.0836 0.0000 0.6695
Dy2 0.1792 0.5000 0.8585
Dy3 0.3531 0.5000 0.2077
Dy4 0.5000 0.0000 0.5000
Y1 0.2213 0.5000 0.5009
Y2 0.5000 0.0000 0.0000
```

Peak list (10 most intense, 2θ = 10–90°, most intense first)
- 2θ = 31.76°, I 100
- 2θ = 32.35°, I 35
- 2θ = 33.23°, I 33
- 2θ = 57.33°, I 20
- 2θ = 25.07°, I 13
- 2θ = 25.45°, I 13
- 2θ = 46.19°, I 13
- 2θ = 62.82°, I 13
- 2θ = 52.31°, I 12
- 2θ = 36.28°, I 11

Entry 10:
Structure and theoretical X-ray powder pattern of Ge2HPt4 (a cell relaxed with GGA-PBE; λ = 1.5418 Å (Cu Kα)).
Kinematic intensities with the Lorentz-polarization factor, no thermal factor.

Structure:
```
data_Ge2HPt4
_chemical_formula_sum 'Ge4 H2 Pt8'
_cell_length_a 5.7436
_cell_length_b 6.6418
_cell_length_c 6.7268
_cell_angle_alpha 83.60
_cell_angle_beta 66.49
_cell_angle_gamma 65.99
_symmetry_space_group_name_H-M 'P 1'
_symmetry_Int_Tables_number 1
loop_
_symmetry_equiv_pos_as_xyz
'x,y,z'
loop_
_atom_site_label
_atom_site_fract_x
_atom_site_fract_y
_atom_site_fract_z
Ge1 0.0000 0.0000 0.0000
Ge2 0.0175 0.4507 0.2043
Ge3 0.3721 0.1795 0.5973
Ge4 0.5274 0.8730 0.0932
H1 0.1669 0.6611 0.3865
H2 0.7802 0.3174 0.6771
Pt1 0.0560 0.1243 0.4488
Pt2 0.4129 0.4167 0.8183
Pt3 0.4776 0.8099 0.7563
Pt4 0.4965 0.2432 0.2020
Pt5 0.4987 0.6157 0.3869
Pt6 0.8558 0.8477 0.3544
Pt7 0.8833 0.3980 0.9062
Pt8 0.9802 0.7854 0.7341
```

Peak list (10 most intense, 2θ = 10–90°, most intense first)
- 2θ = 37.24°, I 100
- 2θ = 32.14°, I 36
- 2θ = 34.95°, I 33
- 2θ = 21.19°, I 32
- 2θ = 38.78°, I 31
- 2θ = 47.62°, I 28
- 2θ = 40.50°, I 27
- 2θ = 29.00°, I 25
- 2θ = 45.30°, I 25
- 2θ = 48.31°, I 23

Entry 11:
Structure and theoretical X-ray powder pattern of Hf2SbP (a cell relaxed with GGA-PBE; λ = 1.5418 Å (Cu Kα)).
Kinematic intensities with the Lorentz-polarization factor, no thermal factor.

Structure:
```
data_Hf2SbP
_chemical_formula_sum 'Hf8 Sb4 P4'
_cell_length_a 6.8075
_cell_length_b 6.8075
_cell_length_c 6.8075
_cell_angle_alpha 90.00
_cell_angle_beta 90.00
_cell_angle_gamma 90.00
_symmetry_space_group_name_H-M 'F m -3 m'
_symmetry_Int_Tables_number 225
_symmetry_space_group_name_Hall '-F 4 2 3'
loop_
_atom_site_label
_atom_site_fract_x
_atom_site_fract_y
_atom_site_fract_z
Hf1 0.2500 0.2500 0.2500
Sb1 0.0000 0.0000 0.0000
P1 0.0000 0.0000 0.5000
```

Peak list (10 most intense, 2θ = 10–90°, most intense first)
- 2θ = 37.36°, I 100
- 2θ = 67.39°, I 35
- 2θ = 26.18°, I 19
- 2θ = 53.87°, I 17
- 2θ = 79.68°, I 11
- 2θ = 60.86°, I 8
- 2θ = 22.62°, I 8
- 2θ = 46.19°, I 6
- 2θ = 44.12°, I 4
- 2θ = 85.61°, I 4

Entry 12:
Structure and theoretical X-ray powder pattern of Ce2Ga2Co5 (a cell relaxed with GGA-PBE; λ = 1.5418 Å (Cu Kα)).
Kinematic intensities with the Lorentz-polarization factor, no thermal factor.

Structure:
```
data_Ce2Ga2Co5
_chemical_formula_sum 'Ce4 Ga4 Co10'
_cell_length_a 10.7842
_cell_length_b 4.4992
_cell_length_c 6.8841
_cell_angle_alpha 90.00
_cell_angle_beta 122.53
_cell_angle_gamma 90.00
_symmetry_space_group_name_H-M 'C 1 2/m 1'
_symmetry_Int_Tables_number 12
loop_
_symmetry_equiv_pos_as_xyz
'x,y,z'
'-x,-y,-z'
'-x,y,-z'
'x,-y,z'
'x+1/2,y+1/2,z'
'-x+1/2,-y+1/2,-z'
'-x+1/2,y+1/2,-z'
'x+1/2,-y+1/2,z'
loop_
_atom_site_label
_atom_site_fract_x
_atom_site_fract_y
_atom_site_fract_z
Ce1 0.1588 0.0000 0.2877
Ga1 0.1573 0.5000 0.9271
Co1 0.0000 0.5000 0.5000
Co2 0.1002 0.5000 0.2273
Co3 0.1146 0.0000 0.6762
```

Peak list (10 most intense, 2θ = 10–90°, most intense first)
- 2θ = 40.08°, I 100
- 2θ = 39.63°, I 97
- 2θ = 34.65°, I 87
- 2θ = 57.64°, I 63
- 2θ = 30.82°, I 62
- 2θ = 45.26°, I 56
- 2θ = 35.30°, I 56
- 2θ = 54.00°, I 47
- 2θ = 29.84°, I 46
- 2θ = 46.97°, I 39

Entry 13:
Structure and theoretical X-ray powder pattern of RbPa3Se8 (a cell relaxed with GGA-PBE; λ = 1.5418 Å (Cu Kα)).
Kinematic intensities with the Lorentz-polarization factor, no thermal factor.

Structure:
```
data_RbPa3Se8
_chemical_formula_sum 'Rb1 Pa3 Se8'
_cell_length_a 7.3270
_cell_length_b 7.3270
_cell_length_c 8.8426
_cell_angle_alpha 90.00
_cell_angle_beta 90.00
_cell_angle_gamma 120.00
_symmetry_space_group_name_H-M 'P -3'
_symmetry_Int_Tables_number 147
loop_
_symmetry_equiv_pos_as_xyz
'x,y,z'
'-x,-y,-z'
'-y,x-y,z'
'y,-x+y,-z'
'-x+y,-x,z'
'x-y,x,-z'
loop_
_atom_site_label
_atom_site_fract_x
_atom_site_fract_y
_atom_site_fract_z
Rb1 0.0000 0.0000 0.0000
Pa1 0.0000 0.0000 0.5000
Pa2 0.3333 0.6667 0.5839
Se1 0.0646 0.3585 0.3467
Se2 0.3333 0.6667 0.8756
```

Peak list (10 most intense, 2θ = 10–90°, most intense first)
- 2θ = 10.00°, I 100
- 2θ = 24.30°, I 44
- 2θ = 31.72°, I 44
- 2θ = 42.75°, I 30
- 2θ = 26.33°, I 25
- 2θ = 29.92°, I 21
- 2θ = 17.20°, I 19
- 2θ = 33.52°, I 17
- 2θ = 43.34°, I 16
- 2θ = 48.96°, I 16